Entry 1:
Simulated X-ray diffraction stick pattern
Compound: Er4CoTe3
Radiation: CuKα
Structure: a DFT-relaxed cell (PBE, Alexandria)
Neutral-atom scattering factors, no anomalous dispersion.

Structure:
Cell lengths 5.9976, 9.8443, 8.8067 Å; angles 90.00, 90.00, 90.00 degrees
Space group Pmmn (No. 59, origin choice 2)
Unique sites:
Er 0.2500 0.0474 0.1983 x4
Er 0.2500 0.2500 0.6246 x2
Er 0.2500 0.7500 0.6472 x2
Co 0.2500 0.2500 0.3542 x2
Te 0.2500 0.0066 0.8469 x4
Te 0.2500 0.7500 0.3016 x2

Main lines, in order of rising 2θ (5 to 70 degrees two-theta):
| index | 2θ (°) | I_rel |
| --- | --- | --- |
| 0 0 2 | 20.2 | 50 |
| 0 2 1 | 20.7 | 100 |
| 2 0 0 | 29.8 | 89 |
| 1 3 0 | 31.1 | 33 |
| 1 0 3 | 34.0 | 24 |
| 0 2 3 | 35.6 | 74 |
| 2 0 2 | 36.2 | 23 |
| 0 4 0 | 36.5 | 80 |
| 1 3 2 | 37.3 | 20 |
| 2 2 3 | 47.1 | 67 |
| 2 4 0 | 47.8 | 33 |
| 1 2 6 | 68.5 | 17 |

***

Entry 2:
Simulated X-ray diffraction stick pattern
Compound: NdSiRu
Radiation: CuKα
Structure: a DFT-relaxed cell (PBE, Alexandria)
Neutral-atom scattering factors, no anomalous dispersion.

Structure:
Cell lengths 4.2511, 4.2511, 13.8473 Å; angles 90.00, 90.00, 90.00 degrees
Space group I4/mmm (No. 139)
Unique sites:
Nd 0.0000 0.0000 0.1518 x4
Si 0.0000 0.0000 0.4032 x4
Ru 0.0000 0.5000 0.0000 x4

Main lines, in order of rising 2θ (5 to 70 degrees two-theta):
| index | 2θ (°) | I_rel |
| --- | --- | --- |
| 0 0 2 | 12.8 | 34 |
| 1 0 1 | 21.9 | 29 |
| 1 0 3 | 28.5 | 74 |
| 1 1 2 | 32.5 | 61 |
| 0 0 6 | 39.0 | 19 |
| 1 1 4 | 39.7 | 100 |
| 2 0 0 | 42.5 | 55 |
| 1 0 7 | 50.9 | 18 |
| 2 1 3 | 52.0 | 28 |
| 2 0 6 | 59.1 | 22 |
| 2 2 0 | 61.7 | 18 |
| 2 1 7 | 68.4 | 15 |